Structure and computed PXRD pattern of Nd6Ag5Sn (a DFT-relaxed cell (GGA-PBE, Alexandria); Cu Kα).

Structural model:
Lattice parameters (Å, degrees): 5.3134 7.6236 8.4216 90.00 108.47 90.00
Fractional positions:
Nd (0.0000, 0.2454, 0.0000)
Nd (0.0000, 0.7546, 0.0000)
Nd (0.3334, 0.2483, 0.6631)
Nd (0.3334, 0.7517, 0.6631)
Nd (0.6666, 0.2483, 0.3369)
Nd (0.6666, 0.7517, 0.3369)
Ag (0.1627, 0.5000, 0.3319)
Ag (0.1635, 0.0000, 0.3333)
Ag (0.5000, 0.0000, 0.0000)
Ag (0.8365, 0.0000, 0.6667)
Ag (0.8373, 0.5000, 0.6681)
Sn (0.5000, 0.5000, 0.0000)

Main lines, sorted by position (2θ from 10° to 90°):
33.47°, rel. 100; 33.70°, rel. 49; 47.72°, rel. 9; 48.40°, rel. 17; 59.69°, rel. 18; 60.10°, rel. 27; 60.20°, rel. 9; 70.32°, rel. 11; 79.65°, rel. 8; 80.63°, rel. 6; 80.77°, rel. 8; 89.88°, rel. 3


Structure and computed PXRD pattern of Sr2Zn6Cu9 (a DFT-relaxed cell (GGA-PBE, Alexandria); Cu Kα).

Structural model:
Lattice parameters (Å, degrees): 5.2987 5.2987 12.2990 90.00 90.00 120.00
Fractional positions:
Sr (0.0000, 0.0000, 0.1765)
Sr (0.0000, 0.0000, 0.8235)
Zn (0.3333, 0.6667, 0.1660)
Zn (0.3333, 0.6667, 0.5000)
Zn (0.3333, 0.6667, 0.8340)
Zn (0.6667, 0.3333, 0.1660)
Zn (0.6667, 0.3333, 0.5000)
Zn (0.6667, 0.3333, 0.8340)
Cu (0.0000, 0.5000, 0.0000)
Cu (0.0000, 0.5000, 0.3345)
Cu (0.0000, 0.5000, 0.6655)
Cu (0.5000, 0.0000, 0.0000)
Cu (0.5000, 0.0000, 0.3345)
Cu (0.5000, 0.0000, 0.6655)
Cu (0.5000, 0.5000, 0.0000)
Cu (0.5000, 0.5000, 0.3345)
Cu (0.5000, 0.5000, 0.6655)

Main lines, sorted by position (2θ from 10° to 90°):
19.34°, rel. 31; 29.21°, rel. 10; 33.83°, rel. 20; 39.27°, rel. 29; 40.54°, rel. 100; 44.18°, rel. 29; 45.29°, rel. 48; 60.56°, rel. 18; 65.09°, rel. 23; 71.18°, rel. 23; 78.80°, rel. 12; 87.72°, rel. 22


Structure and computed PXRD pattern of Cr2MoH4 (a DFT-relaxed cell (GGA-PBE, Alexandria); Cu Kα).

Structural model:
Lattice parameters (Å, degrees): 5.2475 5.2475 5.2475 119.90 119.90 90.17
Fractional positions:
Cr (0.0000, 0.0000, 0.0000)
Cr (0.0000, 0.0000, 0.5000)
Cr (0.0000, 0.5000, 0.0000)
Cr (0.5000, 0.0000, 0.5000)
Mo (0.3750, 0.6250, 0.7500)
Mo (0.6250, 0.3750, 0.2500)
H (0.2026, 0.2345, 0.9681)
H (0.2336, 0.7655, 0.4681)
H (0.2345, 0.2026, 0.4681)
H (0.2345, 0.7664, 0.0319)
H (0.7655, 0.2336, 0.9681)
H (0.7655, 0.7974, 0.5319)
H (0.7664, 0.2345, 0.5319)
H (0.7974, 0.7655, 0.0319)

Main lines, sorted by position (2θ from 10° to 90°):
34.16°, rel. 51; 40.29°, rel. 100; 42.16°, rel. 20; 61.15°, rel. 18; 65.26°, rel. 22; 65.43°, rel. 7; 71.86°, rel. 8; 71.98°, rel. 15; 82.01°, rel. 5; 85.79°, rel. 7; 85.90°, rel. 3; 86.99°, rel. 4


Structure and computed PXRD pattern of TbNd4Sm2Sc (a DFT-relaxed cell (GGA-PBE, Alexandria); Cu Kα).

Structural model:
Lattice parameters (Å, degrees): 5.1022 5.1221 10.0935 90.00 90.00 90.00
Fractional positions:
Tb (0.0000, 0.0000, 0.0000)
Nd (0.0000, 0.5000, 0.2554)
Nd (0.0000, 0.5000, 0.7446)
Nd (0.5000, 0.0000, 0.2547)
Nd (0.5000, 0.0000, 0.7453)
Sm (0.0000, 0.0000, 0.5000)
Sm (0.5000, 0.5000, 0.0000)
Sc (0.5000, 0.5000, 0.5000)

Main lines, sorted by position (2θ from 10° to 90°):
30.42°, rel. 100; 35.04°, rel. 17; 35.18°, rel. 17; 35.58°, rel. 16; 50.50°, rel. 12; 50.79°, rel. 12; 50.90°, rel. 12; 60.00°, rel. 14; 60.19°, rel. 14; 60.72°, rel. 14; 63.29°, rel. 12; 82.26°, rel. 6


Structure and computed PXRD pattern of Ac2Zn15Cu2 (a DFT-relaxed cell (GGA-PBE, Alexandria); Cu Kα).

Structural model:
Lattice parameters (Å, degrees): 6.9593 6.9593 6.9593 82.71 82.71 82.71
Fractional positions:
Ac (0.1613, 0.1613, 0.1613)
Ac (0.8387, 0.8387, 0.8387)
Zn (0.0000, 0.5000, 0.5000)
Zn (0.1571, 0.1571, 0.6552)
Zn (0.1571, 0.6552, 0.1571)
Zn (0.2208, 0.5000, 0.7792)
Zn (0.2208, 0.7792, 0.5000)
Zn (0.3448, 0.8429, 0.8429)
Zn (0.5000, 0.0000, 0.5000)
Zn (0.5000, 0.2208, 0.7792)
Zn (0.5000, 0.5000, 0.0000)
Zn (0.5000, 0.7792, 0.2208)
Zn (0.6552, 0.1571, 0.1571)
Zn (0.7792, 0.2208, 0.5000)
Zn (0.7792, 0.5000, 0.2208)
Zn (0.8429, 0.3448, 0.8429)
Zn (0.8429, 0.8429, 0.3448)
Cu (0.4017, 0.4017, 0.4017)
Cu (0.5983, 0.5983, 0.5983)

Main lines, sorted by position (2θ from 10° to 90°):
27.74°, rel. 56; 33.76°, rel. 40; 34.85°, rel. 30; 39.18°, rel. 70; 39.41°, rel. 100; 40.11°, rel. 57; 40.37°, rel. 17; 56.76°, rel. 39; 57.32°, rel. 35; 71.03°, rel. 22; 72.37°, rel. 20; 84.25°, rel. 18


Structure and computed PXRD pattern of Al3Pd2Au3 (a DFT-relaxed cell (GGA-PBE, Alexandria); Cu Kα).

Structural model:
Lattice parameters (Å, degrees): 3.8542 4.1251 16.3030 90.00 90.00 90.00
Fractional positions:
Al (0.0000, 0.0000, 0.0000)
Al (0.0000, 0.5000, 0.1460)
Al (0.0000, 0.5000, 0.8540)
Al (0.5000, 0.0000, 0.3540)
Al (0.5000, 0.0000, 0.6460)
Al (0.5000, 0.5000, 0.5000)
Pd (0.0000, 0.0000, 0.2514)
Pd (0.0000, 0.0000, 0.7486)
Pd (0.5000, 0.5000, 0.2486)
Pd (0.5000, 0.5000, 0.7514)
Au (0.0000, 0.0000, 0.5000)
Au (0.0000, 0.5000, 0.3801)
Au (0.0000, 0.5000, 0.6199)
Au (0.5000, 0.0000, 0.1199)
Au (0.5000, 0.0000, 0.8801)
Au (0.5000, 0.5000, 0.0000)

Main lines, sorted by position (2θ from 10° to 90°):
23.72°, rel. 41; 27.14°, rel. 22; 35.08°, rel. 21; 38.87°, rel. 100; 43.90°, rel. 18; 44.46°, rel. 16; 47.16°, rel. 15; 50.50°, rel. 11; 64.25°, rel. 11; 77.30°, rel. 14; 78.10°, rel. 11; 82.04°, rel. 12


Structure and computed PXRD pattern of TmTiCuRu (a DFT-relaxed cell (GGA-PBE, Alexandria); Cu Kα).

Structural model:
Lattice parameters (Å, degrees): 6.4777 6.4777 6.4777 90.00 90.00 90.00
Fractional positions:
Tm (0.0000, 0.0000, 0.0000)
Tm (0.0000, 0.5000, 0.5000)
Tm (0.5000, 0.0000, 0.5000)
Tm (0.5000, 0.5000, 0.0000)
Ti (0.0000, 0.0000, 0.5000)
Ti (0.0000, 0.5000, 0.0000)
Ti (0.5000, 0.0000, 0.0000)
Ti (0.5000, 0.5000, 0.5000)
Cu (0.2500, 0.2500, 0.7500)
Cu (0.2500, 0.7500, 0.2500)
Cu (0.7500, 0.2500, 0.2500)
Cu (0.7500, 0.7500, 0.7500)
Ru (0.2500, 0.2500, 0.2500)
Ru (0.2500, 0.7500, 0.7500)
Ru (0.7500, 0.2500, 0.7500)
Ru (0.7500, 0.7500, 0.2500)

Main lines, sorted by position (2θ from 10° to 90°):
23.79°, rel. 25; 27.54°, rel. 2; 39.34°, rel. 100; 46.50°, rel. 13; 56.85°, rel. 17; 62.50°, rel. 6; 64.31°, rel. 1; 71.33°, rel. 33; 76.40°, rel. 4; 84.63°, rel. 10; 89.51°, rel. 5


Structure and computed PXRD pattern of Ba5Si3 (a DFT-relaxed cell (GGA-PBE, Alexandria); Cu Kα).

Structural model:
Lattice parameters (Å, degrees): 8.5012 8.5012 16.7006 90.00 90.00 90.00
Fractional positions:
Ba (0.0533, 0.5817, 0.1085)
Ba (0.0533, 0.9183, 0.6085)
Ba (0.0817, 0.5533, 0.3915)
Ba (0.0817, 0.9467, 0.8915)
Ba (0.2500, 0.2500, 0.2200)
Ba (0.2500, 0.2500, 0.7200)
Ba (0.4183, 0.5533, 0.8915)
Ba (0.4183, 0.9467, 0.3915)
Ba (0.4467, 0.5817, 0.6085)
Ba (0.4467, 0.9183, 0.1085)
Ba (0.5533, 0.0817, 0.8915)
Ba (0.5533, 0.4183, 0.3915)
Ba (0.5817, 0.0533, 0.6085)
Ba (0.5817, 0.4467, 0.1085)
Ba (0.7500, 0.7500, 0.2800)
Ba (0.7500, 0.7500, 0.7800)
Ba (0.9183, 0.0533, 0.1085)
Ba (0.9183, 0.4467, 0.6085)
Ba (0.9467, 0.0817, 0.3915)
Ba (0.9467, 0.4183, 0.8915)
Si (0.1483, 0.6483, 0.7500)
Si (0.1483, 0.8517, 0.2500)
Si (0.2500, 0.2500, 0.0112)
Si (0.2500, 0.2500, 0.5112)
Si (0.3517, 0.6483, 0.2500)
Si (0.3517, 0.8517, 0.7500)
Si (0.6483, 0.1483, 0.2500)
Si (0.6483, 0.3517, 0.7500)
Si (0.7500, 0.7500, 0.4888)
Si (0.7500, 0.7500, 0.9888)
Si (0.8517, 0.1483, 0.7500)
Si (0.8517, 0.3517, 0.2500)

Main lines, sorted by position (2θ from 10° to 90°):
21.28°, rel. 18; 23.48°, rel. 21; 24.01°, rel. 45; 28.43°, rel. 100; 29.72°, rel. 26; 30.00°, rel. 74; 33.33°, rel. 40; 44.27°, rel. 24; 44.85°, rel. 24; 47.00°, rel. 34; 50.52°, rel. 22; 59.23°, rel. 22


Structure and computed PXRD pattern of Hf4CuPt (a DFT-relaxed cell (GGA-PBE, Alexandria); Cu Kα).

Structural model:
Lattice parameters (Å, degrees): 3.2483 3.2483 10.9625 90.00 90.00 90.00
Fractional positions:
Hf (0.0000, 0.0000, 0.1560)
Hf (0.0000, 0.0000, 0.8440)
Hf (0.5000, 0.5000, 0.3426)
Hf (0.5000, 0.5000, 0.6574)
Cu (0.5000, 0.5000, 0.0000)
Pt (0.0000, 0.0000, 0.5000)

Main lines, sorted by position (2θ from 10° to 90°):
28.66°, rel. 4; 32.03°, rel. 3; 37.03°, rel. 100; 39.22°, rel. 44; 49.91°, rel. 10; 51.94°, rel. 2; 56.67°, rel. 15; 65.25°, rel. 18; 69.65°, rel. 32; 78.85°, rel. 10; 84.33°, rel. 5; 85.06°, rel. 8


Structure and computed PXRD pattern of Pu3TlI8 (a DFT-relaxed cell (GGA-PBE, Alexandria); Cu Kα).

Structural model:
Lattice parameters (Å, degrees): 9.2361 9.2361 9.3473 119.50 119.50 60.94
Fractional positions:
Pu (0.0000, 0.0000, 0.0000)
Pu (0.0000, 0.5000, 0.5000)
Pu (0.5000, 0.0000, 0.5000)
Tl (0.5000, 0.5000, 0.0000)
I (0.2226, 0.7623, 0.7437)
I (0.2377, 0.2377, 0.7164)
I (0.2377, 0.7774, 0.2563)
I (0.2472, 0.2472, 0.2586)
I (0.7528, 0.7528, 0.7414)
I (0.7623, 0.2226, 0.7437)
I (0.7623, 0.7623, 0.2836)
I (0.7774, 0.2377, 0.2563)

Main lines, sorted by position (2θ from 10° to 90°):
11.75°, rel. 87; 22.24°, rel. 32; 22.35°, rel. 19; 26.95°, rel. 100; 27.30°, rel. 49; 29.72°, rel. 15; 35.39°, rel. 17; 38.48°, rel. 76; 39.01°, rel. 37; 40.18°, rel. 11; 47.79°, rel. 20; 55.56°, rel. 12


Structure and computed PXRD pattern of CePr3Tm4 (a DFT-relaxed cell (GGA-PBE, Alexandria); Cu Kα).

Structural model:
Lattice parameters (Å, degrees): 3.4158 11.6310 13.1232 90.00 90.00 90.00
Fractional positions:
Ce (0.0000, 0.0000, 0.0000)
Ce (0.5000, 0.5000, 0.5000)
Pr (0.0000, 0.0000, 0.5000)
Pr (0.0000, 0.5000, 0.2638)
Pr (0.0000, 0.5000, 0.7362)
Pr (0.5000, 0.0000, 0.2362)
Pr (0.5000, 0.0000, 0.7638)
Pr (0.5000, 0.5000, 0.0000)
Tm (0.0000, 0.2498, 0.1334)
Tm (0.0000, 0.2498, 0.8666)
Tm (0.0000, 0.7502, 0.1334)
Tm (0.0000, 0.7502, 0.8666)
Tm (0.5000, 0.2502, 0.3666)
Tm (0.5000, 0.2502, 0.6334)
Tm (0.5000, 0.7498, 0.3666)
Tm (0.5000, 0.7498, 0.6334)

Main lines, sorted by position (2θ from 10° to 90°):
26.97°, rel. 18; 30.49°, rel. 46; 30.75°, rel. 56; 31.12°, rel. 32; 31.30°, rel. 100; 33.28°, rel. 13; 36.79°, rel. 34; 37.68°, rel. 26; 55.02°, rel. 20; 63.13°, rel. 14; 63.45°, rel. 27; 80.46°, rel. 14


Structure and computed PXRD pattern of K3Np3SeS8 (a DFT-relaxed cell (GGA-PBE, Alexandria); Cu Kα).

Structural model:
Lattice parameters (Å, degrees): 8.0040 8.0040 8.5407 116.19 116.19 63.07
Fractional positions:
K (0.0000, 0.0000, 0.0000)
K (0.0000, 0.5000, 0.0000)
K (0.5000, 0.0000, 0.0000)
Np (0.0000, 0.5000, 0.5000)
Np (0.5000, 0.0000, 0.5000)
Np (0.5000, 0.5000, 0.5000)
Se (0.0000, 0.0000, 0.5000)
S (0.2180, 0.2180, 0.6783)
S (0.2648, 0.2648, 0.2979)
S (0.2664, 0.6779, 0.7147)
S (0.3221, 0.7336, 0.2853)
S (0.6779, 0.2664, 0.7147)
S (0.7336, 0.3221, 0.2853)
S (0.7352, 0.7352, 0.7021)
S (0.7820, 0.7820, 0.3217)

Main lines, sorted by position (2θ from 10° to 90°):
12.11°, rel. 100; 24.37°, rel. 17; 25.32°, rel. 32; 26.20°, rel. 28; 27.52°, rel. 11; 30.01°, rel. 60; 30.64°, rel. 27; 38.42°, rel. 15; 41.37°, rel. 21; 45.39°, rel. 19; 48.99°, rel. 11; 53.93°, rel. 13